Theoretical powder diffractogram
Compound: TmZrMnRu
Radiation: copper Kα
Structure: DFT lattice parameters and positions (GGA-PBE)
Peak positions follow from Bragg's law for the DFT cell and can differ from measured ones.

The 9 most intense peaks (2θ from 5° to 70°), most intense first:
2θ/deg	I_rel	hkl
38.36	100	2 2 0
69.37	34	4 2 2
55.38	17	4 0 0
23.21	10	1 1 1
26.87	7	2 0 0
45.32	6	3 1 1
62.60	3	4 2 0
60.84	2	3 3 1
47.46	2	2 2 2

Cell and atoms:
```
data_TmZrMnRu
_space_group_name_H-M_alt 'F -4 3 m'
_space_group_IT_number 216
_space_group_name_Hall 'F -4 2 3'
_cell_length_a 6.636
_cell_length_b 6.636
_cell_length_c 6.636
_cell_angle_alpha 90.00
_cell_angle_beta 90.00
_cell_angle_gamma 90.00
loop_
_atom_site_label
_atom_site_type_symbol
_atom_site_fract_x
_atom_site_fract_y
_atom_site_fract_z
Tm1 Tm 0.000 0.000 0.000
Zr1 Zr 0.000 0.000 0.500
Mn1 Mn 0.250 0.250 0.250
Ru1 Ru 0.250 0.250 0.750
```

Theoretical powder diffractogram
Compound: AcNdSmN3
Radiation: copper Kα
Structure: DFT lattice parameters and positions (GGA-PBE)
Peak positions follow from Bragg's law for the DFT cell and can differ from measured ones.

The 10 most intense peaks (2θ from 5° to 70°), most intense first:
2θ/deg	I_rel	hkl
32.30	100	1 1 -2
30.60	85	1 1 1
28.76	52	0 0 3
28.37	35	2 0 -1
57.84	27	2 1 -5
58.22	20	4 0 -1
29.39	19	1 0 -3
49.06	18	0 2 0
50.78	15	3 1 -2
53.35	13	3 1 1

Cell and atoms:
```
data_AcNdSmN3
_space_group_name_H-M_alt 'P 1 21/m 1'
_space_group_IT_number 11
_space_group_name_Hall '-P 2yb'
_cell_length_a 6.344
_cell_length_b 3.714
_cell_length_c 9.519
_cell_angle_alpha 90.00
_cell_angle_beta 101.93
_cell_angle_gamma 90.00
loop_
_atom_site_label
_atom_site_type_symbol
_atom_site_fract_x
_atom_site_fract_y
_atom_site_fract_z
Ac1 Ac 0.155 0.250 0.199
Nd1 Nd 0.270 0.750 0.544
Sm1 Sm 0.352 0.250 0.858
N1 N 0.037 0.250 0.671
N2 N 0.256 0.750 0.983
N3 N 0.471 0.750 0.349
```

Theoretical powder diffractogram
Compound: Sc
Radiation: copper Kα
Structure: DFT lattice parameters and positions (GGA-PBE)
Peak positions follow from Bragg's law for the DFT cell and can differ from measured ones.

The 10 most intense peaks (2θ from 5° to 70°), most intense first:
2θ/deg	I_rel	hkl
33.85	100	1 0 2
39.05	65	1 0 4
33.01	40	0 0 6
55.85	21	1 0 8
58.18	18	1 1 2
61.74	15	1 1 4
31.96	15	1 0 0
66.82	13	2 0 0
66.42	12	1 0 10
46.61	9	1 0 6

Cell and atoms:
```
data_Sc
_space_group_name_H-M_alt 'P 61 2 2'
_space_group_IT_number 178
_space_group_name_Hall 'P 61 2 (0 0 5)'
_cell_length_a 3.2332
_cell_length_b 3.2332
_cell_length_c 16.2806
_cell_angle_alpha 90.00
_cell_angle_beta 90.00
_cell_angle_gamma 120.00
loop_
_atom_site_label
_atom_site_type_symbol
_atom_site_fract_x
_atom_site_fract_y
_atom_site_fract_z
Sc1 Sc 0.0000 0.4982 0.3333
```

Theoretical powder diffractogram
Compound: SrLa3Pt
Radiation: copper Kα
Structure: DFT lattice parameters and positions (GGA-PBE)
Peak positions follow from Bragg's law for the DFT cell and can differ from measured ones.

The 10 most intense peaks (2θ from 5° to 70°), most intense first:
2θ/deg	I_rel	hkl
28.28	100	1 -1 2
30.20	88	1 0 -2
32.80	74	-1 1 2
34.99	69	0 2 2
27.84	67	1 1 2
29.42	57	2 1 0
32.04	49	1 2 -1
28.80	49	1 -2 0
34.33	47	2 1 2
17.46	42	0 1 -1

Cell and atoms:
```
data_SrLa3Pt
_space_group_name_H-M_alt 'P 1'
_space_group_IT_number 1
_space_group_name_Hall 'P 1'
_cell_length_a 6.819
_cell_length_b 7.093
_cell_length_c 7.523
_cell_angle_alpha 89.20
_cell_angle_beta 77.61
_cell_angle_gamma 88.56
loop_
_atom_site_label
_atom_site_type_symbol
_atom_site_fract_x
_atom_site_fract_y
_atom_site_fract_z
Sr1 Sr 0.000 0.000 0.000
Sr2 Sr 0.054 0.005 0.490
La1 La 0.118 0.478 0.197
La2 La 0.160 0.518 0.693
La3 La 0.530 0.874 0.789
La4 La 0.547 0.759 0.295
La5 La 0.587 0.274 0.403
La6 La 0.646 0.386 0.886
Pt1 Pt 0.396 0.110 0.130
Pt2 Pt 0.811 0.603 0.529
```

Theoretical powder diffractogram
Compound: TiGa4Pd
Radiation: copper Kα
Structure: DFT lattice parameters and positions (GGA-PBE)
Peak positions follow from Bragg's law for the DFT cell and can differ from measured ones.

The 10 most intense peaks (2θ from 5° to 70°), most intense first:
2θ/deg	I_rel	hkl
40.78	100	1 1 3
37.11	33	0 2 0
40.97	25	2 0 0
9.79	20	0 0 1
69.38	20	1 3 3
56.46	19	2 2 0
61.56	7	0 0 6
49.05	4	1 1 4
27.36	3	1 1 0
38.47	2	0 2 1

Cell and atoms:
```
data_TiGa4Pd
_space_group_name_H-M_alt 'C m m m'
_space_group_IT_number 65
_space_group_name_Hall '-C 2 2'
_cell_length_a 4.406
_cell_length_b 4.845
_cell_length_c 9.039
_cell_angle_alpha 90.00
_cell_angle_beta 90.00
_cell_angle_gamma 90.00
loop_
_atom_site_label
_atom_site_type_symbol
_atom_site_fract_x
_atom_site_fract_y
_atom_site_fract_z
Ti1 Ti 0.000 0.000 0.000
Ga1 Ga 0.000 0.000 0.341
Ga2 Ga 0.000 0.500 0.175
Pd1 Pd 0.000 0.500 0.500
```

Theoretical powder diffractogram
Compound: SrCrCl2
Radiation: copper Kα
Structure: DFT lattice parameters and positions (GGA-PBE)
Peak positions follow from Bragg's law for the DFT cell and can differ from measured ones.

The 10 most intense peaks (2θ from 5° to 70°), most intense first:
2θ/deg	I_rel	hkl
27.42	100	1 1 0
30.84	40	1 0 -2
18.33	27	1 0 -1
42.80	26	2 1 -2
40.65	26	0 1 2
18.04	20	1 0 0
41.66	19	0 2 0
38.60	18	2 1 -1
52.72	16	1 2 -2
26.84	13	0 1 1

Cell and atoms:
```
data_SrCrCl2
_space_group_name_H-M_alt 'P 1 m 1'
_space_group_IT_number 6
_space_group_name_Hall 'P -2y'
_cell_length_a 5.534
_cell_length_b 4.336
_cell_length_c 5.815
_cell_angle_alpha 90.00
_cell_angle_beta 117.30
_cell_angle_gamma 90.00
loop_
_atom_site_label
_atom_site_type_symbol
_atom_site_fract_x
_atom_site_fract_y
_atom_site_fract_z
Sr1 Sr 0.000 0.000 0.000
Cr1 Cr 0.541 0.500 0.338
Cl1 Cl 0.608 0.500 0.810
Cl2 Cl 0.865 0.000 0.441
```

Theoretical powder diffractogram
Compound: UTl4Se4
Radiation: copper Kα
Structure: DFT lattice parameters and positions (GGA-PBE)
Peak positions follow from Bragg's law for the DFT cell and can differ from measured ones.

The 10 most intense peaks (2θ from 5° to 70°), most intense first:
2θ/deg	I_rel	hkl
28.92	100	3 1 -2
41.53	66	5 1 0
29.15	46	2 0 2
24.70	43	4 0 -1
25.39	39	1 1 1
42.26	19	0 2 0
52.16	19	2 2 2
40.47	15	6 0 -4
48.38	15	7 1 -3
49.56	14	4 2 -1

Cell and atoms:
```
data_UTl4Se4
_space_group_name_H-M_alt 'C 1 2/m 1'
_space_group_IT_number 12
_space_group_name_Hall '-C 2y'
_cell_length_a 14.706
_cell_length_b 4.278
_cell_length_c 10.824
_cell_angle_alpha 90.00
_cell_angle_beta 120.90
_cell_angle_gamma 90.00
loop_
_atom_site_label
_atom_site_type_symbol
_atom_site_fract_x
_atom_site_fract_y
_atom_site_fract_z
U1 U 0.000 0.000 0.000
Tl1 Tl 0.085 0.500 0.399
Tl2 Tl 0.197 0.000 0.774
Se1 Se 0.099 0.500 0.934
Se2 Se 0.170 0.000 0.287
```

Theoretical powder diffractogram
Compound: CsPtBr
Radiation: copper Kα
Structure: DFT lattice parameters and positions (GGA-PBE)
Peak positions follow from Bragg's law for the DFT cell and can differ from measured ones.

The 10 most intense peaks (2θ from 5° to 70°), most intense first:
2θ/deg	I_rel	hkl
33.83	100	1 -1 2
9.86	68	0 0 1
15.27	60	0 1 0
29.13	48	0 2 1
40.81	32	-1 1 3
54.71	25	1 -3 1
56.01	15	2 2 2
20.75	15	0 1 2
46.72	13	2 0 1
33.99	13	1 0 3

Cell and atoms:
```
data_CsPtBr
_space_group_name_H-M_alt 'P 1'
_space_group_IT_number 1
_space_group_name_Hall 'P 1'
_cell_length_a 3.889
_cell_length_b 6.131
_cell_length_c 9.673
_cell_angle_alpha 71.62
_cell_angle_beta 78.42
_cell_angle_gamma 89.99
loop_
_atom_site_label
_atom_site_type_symbol
_atom_site_fract_x
_atom_site_fract_y
_atom_site_fract_z
Cs1 Cs 0.000 0.000 0.000
Cs2 Cs 0.238 0.243 0.523
Pt1 Pt 0.106 0.606 0.789
Pt2 Pt 0.510 0.509 0.982
Br1 Br 0.704 0.708 0.592
Br2 Br 0.908 0.407 0.186
```

Theoretical powder diffractogram
Compound: SrTb2Cd2
Radiation: copper Kα
Structure: DFT lattice parameters and positions (GGA-PBE)
Peak positions follow from Bragg's law for the DFT cell and can differ from measured ones.

The 10 most intense peaks (2θ from 5° to 70°), most intense first:
2θ/deg	I_rel	hkl
30.99	100	1 5 0
33.23	80	1 1 1
58.70	59	1 5 2
34.88	58	0 6 1
35.38	39	1 3 1
25.18	25	0 6 0
59.06	25	2 6 1
29.15	20	0 4 1
46.07	20	2 0 0
16.74	17	0 4 0

Cell and atoms:
```
data_SrTb2Cd2
_space_group_name_H-M_alt 'C m m m'
_space_group_IT_number 65
_space_group_name_Hall '-C 2 2'
_cell_length_a 3.940
_cell_length_b 21.185
_cell_length_c 3.756
_cell_angle_alpha 90.00
_cell_angle_beta 90.00
_cell_angle_gamma 90.00
loop_
_atom_site_label
_atom_site_type_symbol
_atom_site_fract_x
_atom_site_fract_y
_atom_site_fract_z
Sr1 Sr 0.000 0.000 0.000
Tb1 Tb 0.000 0.181 0.000
Cd1 Cd 0.000 0.395 0.500
```

Theoretical powder diffractogram
Compound: B2C
Radiation: copper Kα
Structure: DFT lattice parameters and positions (GGA-PBE)
Peak positions follow from Bragg's law for the DFT cell and can differ from measured ones.

The 10 most intense peaks (2θ from 5° to 70°), most intense first:
2θ/deg	I_rel	hkl
40.76	100	1 1 1
23.48	46	1 0 1
38.20	43	0 0 3
41.99	27	2 0 -1
32.30	26	1 0 2
25.20	21	0 0 2
68.85	18	0 2 0
12.52	16	0 0 1
19.69	15	1 0 0
67.09	12	2 0 -4

Cell and atoms:
```
data_B2C
_space_group_name_H-M_alt 'P 1 m 1'
_space_group_IT_number 6
_space_group_name_Hall 'P -2y'
_cell_length_a 4.508
_cell_length_b 2.727
_cell_length_c 7.068
_cell_angle_alpha 90.00
_cell_angle_beta 90.40
_cell_angle_gamma 90.00
loop_
_atom_site_label
_atom_site_type_symbol
_atom_site_fract_x
_atom_site_fract_y
_atom_site_fract_z
B1 B 0.000 0.000 0.000
B2 B 0.015 0.000 0.562
B3 B 0.212 0.500 0.233
B4 B 0.247 0.000 0.379
B5 B 0.376 0.000 0.649
B6 B 0.559 0.000 0.252
B7 B 0.827 0.500 0.631
B8 B 0.939 0.500 0.399
C1 C 0.176 0.500 0.008
C2 C 0.503 0.500 0.944
C3 C 0.514 0.500 0.722
C4 C 0.651 0.000 0.031
```

Theoretical powder diffractogram
Compound: Zr2PaOs
Radiation: copper Kα
Structure: DFT lattice parameters and positions (GGA-PBE)
Peak positions follow from Bragg's law for the DFT cell and can differ from measured ones.

The 10 most intense peaks (2θ from 5° to 70°), most intense first:
2θ/deg	I_rel	hkl
35.63	100	1 0 2
38.87	43	1 1 0
68.28	30	2 1 2
61.81	16	1 1 4
27.21	15	1 0 0
56.14	15	2 0 0
22.56	14	0 0 2
45.41	10	1 1 2
46.07	10	0 0 4
54.33	9	1 0 4

Cell and atoms:
```
data_Zr2PaOs
_space_group_name_H-M_alt 'P 4/m m m'
_space_group_IT_number 123
_space_group_name_Hall '-P 4 2'
_cell_length_a 3.277
_cell_length_b 3.277
_cell_length_c 7.881
_cell_angle_alpha 90.00
_cell_angle_beta 90.00
_cell_angle_gamma 90.00
loop_
_atom_site_label
_atom_site_type_symbol
_atom_site_fract_x
_atom_site_fract_y
_atom_site_fract_z
Zr1 Zr 0.000 0.000 0.210
Pa1 Pa 0.500 0.500 0.500
Os1 Os 0.500 0.500 0.000
```

Theoretical powder diffractogram
Compound: Ac3Er2Tl6
Radiation: copper Kα
Structure: DFT lattice parameters and positions (GGA-PBE)
Peak positions follow from Bragg's law for the DFT cell and can differ from measured ones.

The 10 most intense peaks (2θ from 5° to 70°), most intense first:
2θ/deg	I_rel	hkl
27.77	100	1 1 4
35.41	95	2 0 0
35.24	93	1 1 8
31.08	45	1 1 6
50.95	42	2 2 0
63.45	41	3 1 8
32.97	29	1 0 9
47.68	25	2 0 10
59.01	24	3 1 4
30.88	20	0 0 10

Cell and atoms:
```
data_Ac3Er2Tl6
_space_group_name_H-M_alt 'I 4/m m m'
_space_group_IT_number 139
_space_group_name_Hall '-I 4 2'
_cell_length_a 5.070
_cell_length_b 5.070
_cell_length_c 28.956
_cell_angle_alpha 90.00
_cell_angle_beta 90.00
_cell_angle_gamma 90.00
loop_
_atom_site_label
_atom_site_type_symbol
_atom_site_fract_x
_atom_site_fract_y
_atom_site_fract_z
Ac1 Ac 0.000 0.000 0.000
Ac2 Ac 0.000 0.000 0.197
Er1 Er 0.000 0.000 0.444
Tl1 Tl 0.000 0.000 0.313
Tl2 Tl 0.000 0.500 0.112
```

Theoretical powder diffractogram
Compound: HoMg6Ni6
Radiation: copper Kα
Structure: DFT lattice parameters and positions (GGA-PBE)
Peak positions follow from Bragg's law for the DFT cell and can differ from measured ones.

The 10 most intense peaks (2θ from 5° to 70°), most intense first:
2θ/deg	I_rel	hkl
40.57	100	2 0 2
40.81	98	2 2 0
14.07	89	0 1 1
40.41	87	1 2 3
28.57	79	1 2 1
28.32	75	0 2 2
41.10	60	0 4 0
39.97	56	0 0 4
59.12	53	2 4 2
45.74	42	2 2 2

Cell and atoms:
```
data_HoMg6Ni6
_space_group_name_H-M_alt 'I m m m'
_space_group_IT_number 71
_space_group_name_Hall '-I 2 2'
_cell_length_a 5.111
_cell_length_b 8.784
_cell_length_c 9.022
_cell_angle_alpha 90.00
_cell_angle_beta 90.00
_cell_angle_gamma 90.00
loop_
_atom_site_label
_atom_site_type_symbol
_atom_site_fract_x
_atom_site_fract_y
_atom_site_fract_z
Ho1 Ho 0.000 0.000 0.000
Mg1 Mg 0.000 0.000 0.347
Mg2 Mg 0.000 0.335 0.000
Mg3 Mg 0.000 0.500 0.310
Ni1 Ni 0.000 0.270 0.500
Ni2 Ni 0.250 0.250 0.250
```

Theoretical powder diffractogram
Compound: InHgSeBr
Radiation: copper Kα
Structure: DFT lattice parameters and positions (GGA-PBE)
Peak positions follow from Bragg's law for the DFT cell and can differ from measured ones.

The 10 most intense peaks (2θ from 5° to 70°), most intense first:
2θ/deg	I_rel	hkl
26.91	100	2 0 -1
39.27	75	1 1 3
24.99	48	1 1 0
44.01	44	3 1 0
9.83	43	0 0 1
47.83	27	1 1 -4
19.74	24	0 0 2
32.04	19	1 1 2
60.42	17	2 2 -3
52.34	16	2 2 -1

Cell and atoms:
```
data_InHgSeBr
_space_group_name_H-M_alt 'C 1 m 1'
_space_group_IT_number 8
_space_group_name_Hall 'C -2y'
_cell_length_a 7.129
_cell_length_b 4.115
_cell_length_c 8.995
_cell_angle_alpha 90.00
_cell_angle_beta 90.10
_cell_angle_gamma 90.00
loop_
_atom_site_label
_atom_site_type_symbol
_atom_site_fract_x
_atom_site_fract_y
_atom_site_fract_z
In1 In 0.000 0.000 0.000
Hg1 Hg 0.499 0.500 0.700
Se1 Se 0.167 0.500 0.138
Br1 Br 0.332 0.000 0.518
```

Theoretical powder diffractogram
Compound: Li5Mg5Zn
Radiation: copper Kα
Structure: DFT lattice parameters and positions (GGA-PBE)
Peak positions follow from Bragg's law for the DFT cell and can differ from measured ones.

The 10 most intense peaks (2θ from 5° to 70°), most intense first:
2θ/deg	I_rel	hkl
9.31	100	0 0 1
34.78	94	1 0 3
34.91	85	1 1 0
19.95	47	1 0 0
62.55	46	3 0 0
36.21	40	1 1 1
50.11	25	2 0 3
27.47	22	1 0 2
45.46	20	1 1 3
22.06	14	1 0 1

Cell and atoms:
```
data_Li5Mg5Zn
_space_group_name_H-M_alt 'P -6 m 2'
_space_group_IT_number 187
_space_group_name_Hall 'P -6 2'
_cell_length_a 5.1397
_cell_length_b 5.1397
_cell_length_c 9.4952
_cell_angle_alpha 90.00
_cell_angle_beta 90.00
_cell_angle_gamma 120.00
loop_
_atom_site_label
_atom_site_type_symbol
_atom_site_fract_x
_atom_site_fract_y
_atom_site_fract_z
Li1 Li 0.0000 0.0000 0.2265
Li2 Li 0.3453 0.1726 0.0000
Mg1 Mg 0.0000 0.0000 0.5000
Mg2 Mg 0.3333 0.6667 0.1881
Mg3 Mg 0.6667 0.3333 0.3243
Zn1 Zn 0.3333 0.6667 0.5000
```